(1)
Starting from a DFT-relaxed cell (GGA+U, the Materials Project), the XRD peak list of MgV2Ge4O12 was calculated for Cu Ka.
Intensities are scaled so that the largest is 100.

Structure:
```
MgV2Ge4O12
1.0
5.6414 0.0000 0.0000
1.7887 6.4843 0.0000
1.4895 0.4672 6.7184
Mg V Ge O
1 2 4 12
Direct
0.0000 0.0000 0.0000 Mg
0.0720 0.5422 0.7303 V
0.5750 0.3654 0.9030 V
0.0815 0.0775 0.5798 Ge
0.1541 0.5916 0.2148 Ge
0.5578 0.2633 0.4314 Ge
0.6048 0.8098 0.0481 Ge
0.0588 0.5061 0.4590 O
0.0933 0.8453 0.7326 O
0.2016 0.4621 0.9935 O
0.2802 0.8270 0.1452 O
0.3911 0.0692 0.4501 O
0.4617 0.4044 0.6453 O
0.5252 0.4267 0.2108 O
0.6164 0.0658 0.9632 O
0.7040 0.6252 0.8633 O
0.8468 0.7759 0.1841 O
0.8826 0.1299 0.3987 O
0.9809 0.2475 0.7848 O
```

Main lines, in order of rising 2θ (10 to 90 degrees two-theta):
2θ (°), d [Å], I (rel.)
18.4, 4.830, 46
18.8, 4.730, 23
19.2, 4.634, 35
19.7, 4.506, 46
26.5, 3.370, 25
28.5, 3.129, 100
29.1, 3.070, 63
29.8, 2.997, 18
33.6, 2.669, 48
34.4, 2.609, 18
35.8, 2.505, 24
45.3, 2.001, 32



(2)
Starting from a DFT-relaxed cell (GGA+U, the Materials Project), the XRD peak list of Li9Mn7O16 was calculated for Cu Ka.
Intensities are scaled so that the largest is 100.

Structure:
```
Li9Mn7O16
1.0
5.7579 0.0000 0.0000
-2.8787 5.3457 0.0000
-1.4395 -1.5471 9.6800
Li Mn O
9 7 16
Direct
0.0000 0.0000 0.0000 Li
0.2428 0.3657 0.2395 Li
0.2426 0.8723 0.2502 Li
0.2452 0.1278 0.7498 Li
0.2491 0.6195 0.7571 Li
0.7509 0.3805 0.2429 Li
0.7548 0.8722 0.2502 Li
0.7574 0.1277 0.7498 Li
0.7572 0.6343 0.7605 Li
0.0000 0.5000 0.0000 Mn
0.0006 0.7493 0.5030 Mn
0.5000 0.0000 0.0000 Mn
0.4998 0.2501 0.4981 Mn
0.5000 0.5000 0.0000 Mn
0.5002 0.7499 0.5019 Mn
0.9994 0.2507 0.4970 Mn
0.1286 0.7862 0.8967 O
0.1371 0.3311 0.8862 O
0.1378 0.0862 0.3783 O
0.1400 0.5892 0.3839 O
0.3587 0.4106 0.6158 O
0.3596 0.6602 0.1180 O
0.3628 0.9150 0.6206 O
0.3940 0.2138 0.1033 O
0.6060 0.7862 0.8967 O
0.6372 0.0850 0.3794 O
0.6404 0.3398 0.8820 O
0.6413 0.5894 0.3842 O
0.8600 0.4108 0.6161 O
0.8622 0.9138 0.6217 O
0.8629 0.6689 0.1138 O
0.8714 0.2138 0.1033 O
```

Main lines, in order of rising 2θ (10 to 90 degrees two-theta):
2θ (°), d [Å], I (rel.)
18.3, 4.840, 100
33.8, 2.655, 19
36.2, 2.483, 24
37.2, 2.418, 10
40.6, 2.222, 35
44.3, 2.047, 54
46.8, 1.940, 10
58.4, 1.580, 9
61.3, 1.513, 17
61.9, 1.498, 16
64.8, 1.439, 7
79.3, 1.208, 7



(3)
Starting from a DFT-relaxed cell (GGA+U, the Materials Project), the XRD peak list of Li9Mn2Co5O16 was calculated for Cu Ka.
Intensities are scaled so that the largest is 100.

Structure:
```
Li9Mn2Co5O16
1.0
2.9565 0.0000 0.0000
-1.3074 4.9303 0.0000
-1.0543 -0.9755 19.6213
Li Mn Co O
9 2 5 16
Direct
0.0000 0.0000 0.0000 Li
0.0460 0.3054 0.8106 Li
0.1880 0.9326 0.4383 Li
0.2861 0.5582 0.0542 Li
0.4326 0.1843 0.6866 Li
0.5674 0.8157 0.3134 Li
0.7139 0.4418 0.9458 Li
0.8120 0.0674 0.5617 Li
0.9540 0.6946 0.1894 Li
0.3823 0.8729 0.8777 Mn
0.6177 0.1271 0.1223 Mn
0.1217 0.6257 0.6247 Co
0.2476 0.2441 0.2513 Co
0.5000 0.5000 0.5000 Co
0.7524 0.7559 0.7487 Co
0.8783 0.3743 0.3753 Co
0.9999 0.1161 0.9008 O
0.0001 0.8839 0.0992 O
0.0596 0.4880 0.7163 O
0.1798 0.7613 0.5335 O
0.2406 0.1113 0.3414 O
0.2461 0.3704 0.1592 O
0.3416 0.7171 0.9600 O
0.4258 0.0087 0.7822 O
0.4769 0.3611 0.5897 O
0.5231 0.6389 0.4103 O
0.5742 0.9913 0.2178 O
0.6584 0.2829 0.0400 O
0.7539 0.6296 0.8408 O
0.7594 0.8887 0.6586 O
0.8202 0.2387 0.4665 O
0.9404 0.5120 0.2837 O
```

Main lines, in order of rising 2θ (10 to 90 degrees two-theta):
2θ (°), d [Å], I (rel.)
18.4, 4.833, 100
35.1, 2.554, 16
36.4, 2.471, 13
36.6, 2.453, 12
37.7, 2.383, 8
42.2, 2.141, 31
44.1, 2.055, 27
44.6, 2.031, 25
62.4, 1.488, 8
62.9, 1.477, 15
63.2, 1.470, 7
64.0, 1.455, 7



(4)
Starting from a DFT-relaxed cell (GGA+U, the Materials Project), the XRD peak list of Ba2VP2O9 was calculated for Cu Ka.
Intensities are scaled so that the largest is 100.

Structure:
```
Ba2VP2O9
1.0
8.9314 -2.7797 0.0000
8.9314 2.7797 0.0000
-3.2526 0.0000 9.0320
Ba V P O
4 2 4 18
Direct
0.1287 0.1977 0.5780 Ba
0.1633 0.1633 0.0782 Ba
0.8023 0.8713 0.4220 Ba
0.8367 0.8367 0.9218 Ba
0.4196 0.5804 0.5000 V
0.5471 0.4529 0.0000 V
0.3230 0.4155 0.6763 P
0.3816 0.3579 0.1769 P
0.5845 0.6770 0.3237 P
0.6421 0.6184 0.8231 P
0.0516 0.5681 0.6491 O
0.1034 0.5583 0.1932 O
0.1187 0.8813 0.5000 O
0.3311 0.5550 0.8143 O
0.3695 0.4242 0.5372 O
0.3880 0.4070 0.0381 O
0.4319 0.9484 0.3509 O
0.4417 0.8966 0.8068 O
0.4450 0.6689 0.1857 O
0.5225 0.1369 0.6911 O
0.5245 0.3618 0.3150 O
0.5326 0.0870 0.1475 O
0.5758 0.6305 0.4628 O
0.5930 0.6120 0.9619 O
0.6382 0.4755 0.6850 O
0.8481 0.1519 0.0000 O
0.8631 0.4775 0.3089 O
0.9130 0.4674 0.8525 O
```

Main lines, in order of rising 2θ (10 to 90 degrees two-theta):
2θ (°), d [Å], I (rel.)
21.1, 4.202, 28
22.5, 3.946, 79
24.5, 3.627, 100
26.2, 3.401, 24
27.3, 3.264, 25
31.7, 2.826, 32
32.0, 2.801, 36
32.2, 2.780, 31
33.5, 2.672, 28
37.6, 2.393, 36
40.3, 2.240, 22
41.8, 2.159, 26



(5)
Starting from a DFT-relaxed cell (GGA+U, the Materials Project), the XRD peak list of LiVNiO4 was calculated for Cu Ka.
Intensities are scaled so that the largest is 100.

Structure:
```
LiVNiO4
1.0
10.4034 0.0000 0.0000
0.0000 6.0283 0.0000
0.0000 0.0000 4.9308
Li V Ni O
4 4 4 16
Direct
0.0000 0.0000 0.0000 Li
0.0000 0.5000 0.0000 Li
0.5000 0.0000 0.5000 Li
0.5000 0.5000 0.5000 Li
0.0946 0.2500 0.4305 V
0.4054 0.7500 0.9305 V
0.5946 0.2500 0.0695 V
0.9054 0.7500 0.5695 V
0.2309 0.7500 0.4935 Ni
0.2691 0.2500 0.9935 Ni
0.7309 0.7500 0.0065 Ni
0.7691 0.2500 0.5065 Ni
0.0598 0.7500 0.7028 O
0.0961 0.2500 0.7827 O
0.1694 0.0218 0.2732 O
0.1694 0.4782 0.2732 O
0.3306 0.5218 0.7732 O
0.3306 0.9782 0.7732 O
0.4039 0.7500 0.2827 O
0.4402 0.2500 0.2028 O
0.5598 0.7500 0.7972 O
0.5961 0.2500 0.7173 O
0.6694 0.0218 0.2268 O
0.6694 0.4782 0.2268 O
0.8306 0.5218 0.7268 O
0.8306 0.9782 0.7268 O
0.9039 0.7500 0.2173 O
0.9402 0.2500 0.2972 O
```

Main lines, in order of rising 2θ (10 to 90 degrees two-theta):
2θ (°), d [Å], I (rel.)
17.0, 5.202, 23
19.9, 4.456, 46
22.6, 3.938, 27
24.9, 3.583, 53
29.6, 3.014, 51
35.0, 2.567, 100
36.0, 2.497, 24
40.5, 2.229, 21
47.7, 1.908, 18
51.0, 1.791, 31
56.1, 1.640, 24
61.7, 1.503, 19